1.
Starting from the PBE geometry in Alexandria, the X-ray powder pattern of Pm4Te5F2 was simulated for Cu Kα (weighted mean of Kα1 and Kα2).
No peak broadening, texture or thermal motion is included.

Crystal structure
```
data_Pm4Te5F2
_cell_length_a 19.498
_cell_length_b 4.248
_cell_length_c 8.589
_cell_angle_alpha 90.00
_cell_angle_beta 102.02
_cell_angle_gamma 90.00
_space_group_name_H-M_alt 'C 1 2/m 1'
_space_group_IT_number 12
_space_group_name_Hall '-C 2y'
loop_
_atom_site_label
_atom_site_type_symbol
_atom_site_fract_x
_atom_site_fract_y
_atom_site_fract_z
_atom_site_occupancy
Pm1 Pm 0.020 0.000 0.245 1
Pm2 Pm 0.221 0.500 0.218 1
Te1 Te 0.000 0.500 0.500 1
Te2 Te 0.147 0.000 0.955 1
Te3 Te 0.171 0.000 0.438 1
F1 F 0.039 0.500 0.154 1
```

Peak list (10 most intense, 2θ = 10–90°, sorted by position)
hkl 1 1 0, d = 4.147 Å, 21.4 deg, I 29
hkl 1 1 1, d = 3.653 Å, 24.4 deg, I 23
hkl 3 1 -1, d = 3.400 Å, 26.2 deg, I 31
hkl 6 0 0, d = 3.178 Å, 28.1 deg, I 26
hkl 1 1 -2, d = 3.020 Å, 29.6 deg, I 30
hkl 3 1 -2, d = 2.871 Å, 31.2 deg, I 100
hkl 6 0 1, d = 2.787 Å, 32.1 deg, I 25
hkl 3 1 2, d = 2.561 Å, 35.0 deg, I 63
hkl 7 1 -1, d = 2.318 Å, 38.9 deg, I 27
hkl 0 2 0, d = 2.124 Å, 42.6 deg, I 32


2.
Starting from the PBE geometry in Alexandria, the X-ray powder pattern of Ho2Tm6Fe was simulated for Cu Kα (weighted mean of Kα1 and Kα2).
No peak broadening, texture or thermal motion is included.

Crystal structure
```
data_Ho2Tm6Fe
_cell_length_a 9.079
_cell_length_b 16.776
_cell_length_c 3.426
_cell_angle_alpha 90.00
_cell_angle_beta 90.00
_cell_angle_gamma 90.00
_space_group_name_H-M_alt 'C m m m'
_space_group_IT_number 65
_space_group_name_Hall '-C 2 2'
loop_
_atom_site_label
_atom_site_type_symbol
_atom_site_fract_x
_atom_site_fract_y
_atom_site_fract_z
_atom_site_occupancy
Ho1 Ho 0.000 0.179 0.000 1
Tm1 Tm 0.172 0.341 0.500 1
Tm2 Tm 0.221 0.000 0.000 1
Fe1 Fe 0.000 0.500 0.500 1
```

Peak list (10 most intense, 2θ = 10–90°, sorted by position)
hkl 1 1 1, d = 3.148 Å, 28.3 deg, I 43
hkl 0 6 0, d = 2.796 Å, 32.0 deg, I 69
hkl 1 3 1, d = 2.781 Å, 32.2 deg, I 40
hkl 3 3 0, d = 2.661 Å, 33.7 deg, I 100
hkl 0 4 1, d = 2.653 Å, 33.8 deg, I 29
hkl 2 2 1, d = 2.600 Å, 34.5 deg, I 69
hkl 1 5 1, d = 2.318 Å, 38.9 deg, I 23
hkl 2 4 1, d = 2.291 Å, 39.3 deg, I 42
hkl 0 6 2, d = 1.461 Å, 63.7 deg, I 19
hkl 3 3 2, d = 1.440 Å, 64.7 deg, I 32


3.
Starting from the PBE geometry in Alexandria, the X-ray powder pattern of ZrH was simulated for Cu Kα (weighted mean of Kα1 and Kα2).
No peak broadening, texture or thermal motion is included.

Crystal structure
```
data_ZrH
_cell_length_a 3.040
_cell_length_b 3.052
_cell_length_c 5.285
_cell_angle_alpha 90.00
_cell_angle_beta 90.00
_cell_angle_gamma 90.00
_space_group_name_H-M_alt 'P m m n'
_space_group_IT_number 59
loop_
_space_group_symop_operation_xyz
'x,y,z'
'-x,-y,-z'
'-x+1/2,-y+1/2,z'
'x+1/2,y+1/2,-z'
'x+1/2,-y,-z'
'-x+1/2,y,z'
'-x,y+1/2,-z'
'x,-y+1/2,z'
loop_
_atom_site_label
_atom_site_type_symbol
_atom_site_fract_x
_atom_site_fract_y
_atom_site_fract_z
_atom_site_occupancy
Zr1 Zr 0.250 0.250 0.248 1
H1 H 0.250 0.250 0.833 1
```

Peak list (9 most intense, 2θ = 10–90°, sorted by position)
hkl 0 0 2, d = 2.643 Å, 33.9 deg, I 100
hkl 1 0 1, d = 2.635 Å, 34.0 deg, I 65
hkl 1 1 0, d = 2.154 Å, 41.9 deg, I 38
hkl 1 1 2, d = 1.670 Å, 55.0 deg, I 33
hkl 0 2 0, d = 1.525 Å, 60.7 deg, I 30
hkl 2 0 0, d = 1.520 Å, 61.0 deg, I 6
hkl 0 2 2, d = 1.321 Å, 71.4 deg, I 25
hkl 2 0 2, d = 1.318 Å, 71.6 deg, I 21
hkl 1 1 4, d = 1.126 Å, 86.4 deg, I 9


4.
Starting from the PBE geometry in Alexandria, the X-ray powder pattern of Ac2Pd3Pt2 was simulated for Cu Kα (weighted mean of Kα1 and Kα2).
No peak broadening, texture or thermal motion is included.

Crystal structure
```
data_Ac2Pd3Pt2
_cell_length_a 10.625
_cell_length_b 4.583
_cell_length_c 6.672
_cell_angle_alpha 90.00
_cell_angle_beta 106.90
_cell_angle_gamma 90.00
_space_group_name_H-M_alt 'C 1 2/m 1'
_space_group_IT_number 12
_space_group_name_Hall '-C 2y'
loop_
_atom_site_label
_atom_site_type_symbol
_atom_site_fract_x
_atom_site_fract_y
_atom_site_fract_z
_atom_site_occupancy
Ac1 Ac 0.109 0.000 0.312 1
Pd1 Pd 0.000 0.500 0.000 1
Pd2 Pd 0.210 0.000 0.896 1
Pt1 Pt 0.104 0.500 0.672 1
```

Peak list (10 most intense, 2θ = 10–90°, sorted by position)
hkl 1 1 -1, d = 3.705 Å, 24.0 deg, I 28
hkl 1 1 1, d = 3.319 Å, 26.9 deg, I 40
hkl 3 1 -1, d = 2.749 Å, 32.6 deg, I 50
hkl 1 1 -2, d = 2.697 Å, 33.2 deg, I 91
hkl 4 0 -1, d = 2.640 Å, 34.0 deg, I 28
hkl 3 1 -2, d = 2.363 Å, 38.1 deg, I 27
hkl 4 0 -2, d = 2.349 Å, 38.3 deg, I 36
hkl 3 1 1, d = 2.318 Å, 38.8 deg, I 100
hkl 0 2 0, d = 2.292 Å, 39.3 deg, I 66
hkl 7 1 -1, d = 1.438 Å, 64.8 deg, I 34